No. 1
Structure and computed powder diffractogram of NaPaSbO6 (a DFT-relaxed cell (PBE, Alexandria); Cu Kα).

Crystal structure
```
data_NaPaSbO6
_space_group_name_H-M_alt 'P -3 1 c'
_space_group_IT_number 163
_space_group_name_Hall '-P 3 2c'
_cell_length_a 5.6438
_cell_length_b 5.6438
_cell_length_c 10.1232
_cell_angle_alpha 90.00
_cell_angle_beta 90.00
_cell_angle_gamma 120.00
loop_
_atom_site_label
_atom_site_type_symbol
_atom_site_fract_x
_atom_site_fract_y
_atom_site_fract_z
Na1 Na 0.0000 0.0000 0.0000
Pa1 Pa 0.3333 0.6667 0.2500
Sb1 Sb 0.3333 0.6667 0.7500
O1 O 0.0221 0.3787 0.6419
```

Largest 10 diffraction maxima, sorted by position, 2θ = 10–90°:
2θ/deg  I_rel  h k l
17.5  100  0 0 2
18.1  60  1 0 0
20.2  24  1 0 1
25.3  85  1 0 2
31.7  62  1 1 0
36.5  86  1 1 2
48.3  63  1 1 4
52.7  23  2 1 2
56.5  23  3 0 0
59.6  23  3 0 2

***

No. 2
Structure and computed powder diffractogram of PmZnRh (a DFT-relaxed cell (PBE, Alexandria); Cu Kα).

Crystal structure
```
data_PmZnRh
_space_group_name_H-M_alt 'P n m a'
_space_group_IT_number 62
_cell_length_a 7.0806
_cell_length_b 4.1344
_cell_length_c 8.2006
_cell_angle_alpha 90.00
_cell_angle_beta 90.00
_cell_angle_gamma 90.00
loop_
_space_group_symop_operation_xyz
'x,y,z'
'-x,-y,-z'
'-x+1/2,-y,z+1/2'
'x+1/2,y,-z+1/2'
'x+1/2,-y+1/2,-z+1/2'
'-x+1/2,y+1/2,z+1/2'
'-x,y+1/2,-z'
'x,-y+1/2,z'
loop_
_atom_site_label
_atom_site_type_symbol
_atom_site_fract_x
_atom_site_fract_y
_atom_site_fract_z
Pm1 Pm 0.0365 0.2500 0.1874
Zn1 Zn 0.1398 0.2500 0.5649
Rh1 Rh 0.2399 0.7500 0.3812
```

Largest 10 diffraction maxima, sorted by position, 2θ = 10–90°:
2θ/deg  I_rel  h k l
33.3  64  1 1 2
33.4  14  2 0 2
35.1  100  2 1 1
39.5  31  0 1 3
41.6  17  1 1 3
43.8  28  0 2 0
44.3  20  3 0 2
57.4  10  1 2 3
64.0  15  3 2 2
64.3  11  3 1 4